Calculated powder diffraction line list of Zr4W3 for Cu Kα X-rays, from a cell relaxed with GGA-PBE.
Lines closer than 0.1° are merged.

```
data_Zr4W3
_chemical_formula_sum 'Zr8 W6'
_space_group_name_H-M_alt 'P 63/m'
_space_group_IT_number 176
_space_group_name_Hall '-P 6c'
_cell_length_a 8.3602
_cell_length_b 8.3602
_cell_length_c 4.6156
_cell_angle_alpha 90.00
_cell_angle_beta 90.00
_cell_angle_gamma 120.00
loop_
_atom_site_label
_atom_site_type_symbol
_atom_site_fract_x
_atom_site_fract_y
_atom_site_fract_z
Zr1 Zr 0.1151 0.8409 0.2500
Zr2 Zr 0.3333 0.6667 0.2500
W1 W 0.0968 0.5755 0.7500
```

Largest 10 diffraction maxima, most intense first, 10 to 90 degrees two-theta:
two_theta, I (rel.), index
38.24, 100, 1 2 1
39.03, 25, 0 0 2
12.22, 24, 1 0 0
32.73, 18, 1 2 0
70.18, 17, 1 2 3
51.82, 10, 1 2 2
67.83, 10, 5 0 1
24.59, 9, 2 0 0
42.26, 9, 3 0 1
31.41, 7, 2 0 1